No. 1
Diffraction record for LaPmTmSc. The PXRD pattern is theoretical, not measured: it uses the GGA-PBE geometry in Alexandria and Cu Kα, 1.54184 Å.

Unit cell a=6.7336 b=6.7336 c=6.7336 alpha=146.93 beta=129.82 gamma=61.42
Fractional positions:
La1 0.0000 0.0000 0.0000
Pm1 0.2736 0.7736 0.5000
Tm1 0.7359 0.2359 0.5000
Sc1 0.5090 0.5090 0.0000

The 8 most intense peaks (15 to 90 degrees two-theta), in order of rising 2θ:
d [Å]	2θ (°)	intensity
3.198	27.90	12
2.895	30.89	25
2.855	31.33	28
2.789	32.09	100
2.033	44.57	18
1.650	55.70	15
1.635	56.25	20
1.394	67.13	10


No. 2
Diffraction record for Tb3PrHo12. The PXRD pattern is theoretical, not measured: it uses the GGA-PBE geometry in Alexandria and Cu Kα, 1.54184 Å.

Unit cell a=5.0090 b=5.0090 c=20.0402 alpha=90.00 beta=90.00 gamma=90.00
Fractional positions:
Tb1 0.0000 0.0000 0.0000
Tb2 0.0000 0.0000 0.2489
Tb3 0.0000 0.0000 0.7511
Pr1 0.0000 0.0000 0.5000
Ho1 0.0000 0.5000 0.1244
Ho2 0.0000 0.5000 0.3730
Ho3 0.0000 0.5000 0.6270
Ho4 0.0000 0.5000 0.8756
Ho5 0.5000 0.0000 0.1244
Ho6 0.5000 0.0000 0.3730
Ho7 0.5000 0.0000 0.6270
Ho8 0.5000 0.0000 0.8756
Ho9 0.5000 0.5000 0.0000
Ho10 0.5000 0.5000 0.2484
Ho11 0.5000 0.5000 0.5000
Ho12 0.5000 0.5000 0.7516

The 8 most intense peaks (15 to 90 degrees two-theta), in order of rising 2θ:
d [Å]	2θ (°)	intensity
2.892	30.92	100
2.505	35.85	51
1.771	51.61	36
1.510	61.38	43
1.446	64.43	12
1.252	75.99	6
1.149	84.26	18
1.120	86.98	17


No. 3
Diffraction record for TbPr3P4. The PXRD pattern is theoretical, not measured: it uses the GGA-PBE geometry in Alexandria and Cu Kα, 1.54184 Å.

Unit cell a=5.8860 b=5.8860 c=5.8860 alpha=90.00 beta=90.00 gamma=90.00
Fractional positions:
Tb1 0.0000 0.0000 0.0000
Pr1 0.0000 0.5000 0.5000
Pr2 0.5000 0.0000 0.5000
Pr3 0.5000 0.5000 0.0000
P1 0.0000 0.0000 0.5000
P2 0.0000 0.5000 0.0000
P3 0.5000 0.0000 0.0000
P4 0.5000 0.5000 0.5000

The 8 most intense peaks (15 to 90 degrees two-theta), in order of rising 2θ:
d [Å]	2θ (°)	intensity
3.398	26.22	80
2.943	30.37	100
2.081	43.49	74
1.775	51.49	40
1.699	53.96	26
1.350	69.63	16
1.316	71.71	33
1.201	79.83	25


No. 4
Diffraction record for K2Ni. The PXRD pattern is theoretical, not measured: it uses the GGA-PBE geometry in Alexandria and Cu Kα, 1.54184 Å.

Unit cell a=9.2574 b=9.2574 c=4.2706 alpha=90.00 beta=90.00 gamma=48.17
Fractional positions:
K1 0.1223 0.6265 0.7500
K2 0.3735 0.8777 0.7500
K3 0.6265 0.1223 0.2500
K4 0.8777 0.3735 0.2500
Ni1 0.0500 0.9500 0.2500
Ni2 0.9500 0.0500 0.7500

The 8 most intense peaks (15 to 90 degrees two-theta), in order of rising 2θ:
d [Å]	2θ (°)	intensity
4.517	19.65	62
3.631	24.52	29
3.449	25.83	24
3.103	28.77	80
2.817	31.77	100
2.501	35.90	41
2.152	41.99	52
1.702	53.88	39


No. 5
Diffraction record for Pm4AsIrBr2. The PXRD pattern is theoretical, not measured: it uses the GGA-PBE geometry in Alexandria and Cu Kα, 1.54184 Å.

Unit cell a=7.6025 b=4.1171 c=7.7645 alpha=90.00 beta=107.38 gamma=90.00
Fractional positions:
Pm1 0.2145 0.0000 0.1969
Pm2 0.2536 0.5000 0.7942
Pm3 0.7464 0.5000 0.2058
Pm4 0.7855 0.0000 0.8031
As1 0.5000 0.0000 0.0000
Ir1 0.0000 0.5000 0.0000
Br1 0.0000 0.0000 0.5000
Br2 0.5000 0.5000 0.5000

The 8 most intense peaks (15 to 90 degrees two-theta), in order of rising 2θ:
d [Å]	2θ (°)	intensity
3.095	28.85	53
3.053	29.26	100
2.403	37.42	20
2.275	39.62	15
2.190	41.23	30
2.157	41.87	41
2.058	43.99	21
1.714	53.46	19


No. 6
Diffraction record for NaAc3Se2Br6. The PXRD pattern is theoretical, not measured: it uses the GGA-PBE geometry in Alexandria and Cu Kα, 1.54184 Å.

Unit cell a=8.8631 b=8.8631 c=6.6830 alpha=92.06 beta=92.06 gamma=62.44
Fractional positions:
Na1 0.0000 0.0000 0.0000
Ac1 0.0000 0.5000 0.0000
Ac2 0.5000 0.0000 0.0000
Ac3 0.5000 0.5000 0.5000
Se1 0.3316 0.3316 0.2383
Se2 0.6684 0.6684 0.7617
Br1 0.1582 0.1582 0.7596
Br2 0.1638 0.6704 0.7436
Br3 0.3296 0.8362 0.2564
Br4 0.6704 0.1638 0.7436
Br5 0.8362 0.3296 0.2564
Br6 0.8418 0.8418 0.2404

The 8 most intense peaks (15 to 90 degrees two-theta), in order of rising 2θ:
d [Å]	2θ (°)	intensity
5.122	17.31	76
4.907	18.08	53
3.785	23.50	56
3.354	26.58	100
2.572	34.89	49
2.517	35.67	49
2.297	39.22	33
2.212	40.79	58


No. 7
Diffraction record for Nd4Ge2Se. The PXRD pattern is theoretical, not measured: it uses the GGA-PBE geometry in Alexandria and Cu Kα, 1.54184 Å.

Unit cell a=7.8855 b=7.8855 c=7.8855 alpha=109.49 beta=109.49 gamma=109.44
Fractional positions:
Nd1 0.1258 0.2410 0.7458
Nd2 0.1301 0.7452 0.7542
Nd3 0.2548 0.0090 0.3848
Nd4 0.4952 0.3801 0.2542
Nd5 0.6199 0.8742 0.1152
Nd6 0.6242 0.8699 0.6152
Nd7 0.7590 0.5048 0.8848
Nd8 0.9910 0.3758 0.2458
Ge1 0.2492 0.6250 0.1242
Ge2 0.3750 0.4992 0.6242
Ge3 0.5008 0.1250 0.8758
Ge4 0.8750 0.7508 0.3758
Se1 0.0000 0.0000 0.0000
Se2 0.7500 0.2500 0.5000

The 8 most intense peaks (15 to 90 degrees two-theta), in order of rising 2θ:
d [Å]	2θ (°)	intensity
3.219	27.71	14
2.879	31.06	100
2.434	36.94	61
1.859	49.01	18
1.786	51.15	33
1.477	62.92	22
1.405	66.56	14
1.239	76.95	15


No. 8
Diffraction record for SrPr4H10. The PXRD pattern is theoretical, not measured: it uses the GGA-PBE geometry in Alexandria and Cu Kα, 1.54184 Å.

Unit cell a=16.3867 b=16.3867 c=16.3867 alpha=13.80 beta=13.80 gamma=13.80
Fractional positions:
Sr1 0.0000 0.0000 0.0000
Pr1 0.1994 0.1994 0.1994
Pr2 0.4019 0.4019 0.4019
Pr3 0.5981 0.5981 0.5981
Pr4 0.8006 0.8006 0.8006
H1 0.0527 0.0527 0.0527
H2 0.1503 0.1503 0.1503
H3 0.2489 0.2489 0.2489
H4 0.3532 0.3532 0.3532
H5 0.4514 0.4514 0.4514
H6 0.5486 0.5486 0.5486
H7 0.6468 0.6468 0.6468
H8 0.7511 0.7511 0.7511
H9 0.8497 0.8497 0.8497
H10 0.9473 0.9473 0.9473

The 8 most intense peaks (15 to 90 degrees two-theta), in order of rising 2θ:
d [Å]	2θ (°)	intensity
3.246	27.48	34
3.218	27.72	100
2.793	32.05	65
1.981	45.80	26
1.968	46.12	26
1.691	54.25	15
1.683	54.52	30
1.679	54.66	15


No. 9
Diffraction record for SnH24C6N2O2F6. The PXRD pattern is theoretical, not measured: it uses the GGA-PBE geometry in Alexandria and Cu Kα, 1.54184 Å.

Unit cell a=8.3123 b=8.3123 c=8.2422 alpha=116.23 beta=116.23 gamma=52.49
Fractional positions:
Sn1 0.0000 0.0000 0.0000
H1 0.0119 0.6937 0.5160
H2 0.0603 0.4873 0.3071
H3 0.0640 0.7135 0.3380
H4 0.2028 0.4460 0.9888
H5 0.2118 0.2118 0.9561
H6 0.2865 0.9360 0.6620
H7 0.3034 0.3034 0.7073
H8 0.3063 0.9881 0.4840
H9 0.3499 0.5654 0.7652
H10 0.4346 0.6501 0.2348
H11 0.4460 0.2028 0.9888
H12 0.4873 0.0603 0.3071
H13 0.5127 0.9397 0.6929
H14 0.5540 0.7972 0.0112
H15 0.5654 0.3499 0.7652
H16 0.6501 0.4346 0.2348
H17 0.6937 0.0119 0.5160
H18 0.6966 0.6966 0.2927
H19 0.7135 0.0640 0.3380
H20 0.7882 0.7882 0.0439
H21 0.7972 0.5540 0.0112
H22 0.9360 0.2865 0.6620
H23 0.9397 0.5127 0.6929
H24 0.9881 0.3063 0.4840
C1 0.0083 0.3436 0.6342
C2 0.2768 0.2768 0.9292
C3 0.3436 0.0083 0.6342
C4 0.6564 0.9917 0.3658
C5 0.7232 0.7232 0.0708
C6 0.9917 0.6564 0.3658
N1 0.2367 0.2367 0.7239
N2 0.7633 0.7633 0.2761
O1 0.4141 0.4141 0.7054
O2 0.5859 0.5859 0.2946
F1 0.1486 0.1486 0.1941
F2 0.1664 0.7781 0.1432
F3 0.2219 0.8336 0.8568
F4 0.7781 0.1664 0.1432
F5 0.8336 0.2219 0.8568
F6 0.8514 0.8514 0.8059

The 8 most intense peaks (15 to 90 degrees two-theta), in order of rising 2θ:
d [Å]	2θ (°)	intensity
5.481	16.17	30
4.285	20.73	100
4.100	21.68	86
3.725	23.89	49
3.513	25.35	42
3.406	26.16	50
3.227	27.64	30
2.849	31.40	28


No. 10
Diffraction record for ErCu2Cl8. The PXRD pattern is theoretical, not measured: it uses the GGA-PBE geometry in Alexandria and Cu Kα, 1.54184 Å.

Unit cell a=7.5241 b=7.5241 c=7.5241 alpha=127.44 beta=127.44 gamma=77.54
Fractional positions:
Er1 0.0000 0.0000 0.0000
Cu1 0.2500 0.7500 0.5000
Cu2 0.7500 0.2500 0.5000
Cl1 0.0485 0.5626 0.8458
Cl2 0.2027 0.0485 0.4859
Cl3 0.2832 0.4374 0.4859
Cl4 0.4374 0.9515 0.1542
Cl5 0.5626 0.7168 0.5141
Cl6 0.7168 0.2027 0.1542
Cl7 0.7973 0.2832 0.8458
Cl8 0.9515 0.7973 0.5141

The 8 most intense peaks (15 to 90 degrees two-theta), in order of rising 2θ:
d [Å]	2θ (°)	intensity
5.794	15.29	99
3.673	24.23	100
3.373	26.43	23
2.888	30.96	53
2.370	37.96	40
2.356	38.20	26
2.201	41.00	58
1.983	45.76	41


No. 11
Diffraction record for PmSm4Mg7. The PXRD pattern is theoretical, not measured: it uses the GGA-PBE geometry in Alexandria and Cu Kα, 1.54184 Å.

Unit cell a=6.5094 b=6.5094 c=11.6149 alpha=112.61 beta=112.61 gamma=52.28
Fractional positions:
Pm1 0.0000 0.0000 0.0000
Sm1 0.1646 0.1646 0.7781
Sm2 0.4295 0.4295 0.6713
Sm3 0.5705 0.5705 0.3287
Sm4 0.8354 0.8354 0.2219
Mg1 0.1245 0.1245 0.4931
Mg2 0.2517 0.2517 0.3210
Mg3 0.2992 0.2992 0.0775
Mg4 0.5000 0.5000 0.0000
Mg5 0.7008 0.7008 0.9225
Mg6 0.7483 0.7483 0.6790
Mg7 0.8755 0.8755 0.5069

The 8 most intense peaks (15 to 90 degrees two-theta), in order of rising 2θ:
d [Å]	2θ (°)	intensity
4.220	21.05	100
3.748	23.74	44
3.146	28.37	82
2.868	31.19	100
2.641	33.94	28
2.633	34.05	32
2.551	35.18	28
2.028	44.69	32


No. 12
Diffraction record for K2PaSe5. The PXRD pattern is theoretical, not measured: it uses the GGA-PBE geometry in Alexandria and Cu Kα, 1.54184 Å.

Unit cell a=6.7949 b=6.7949 c=5.5880 alpha=90.00 beta=90.00 gamma=90.00
Fractional positions:
K1 0.0000 0.5000 0.0000
K2 0.5000 0.0000 0.0000
Pa1 0.0000 0.0000 0.5000
Se1 0.0000 0.0000 0.0000
Se2 0.2836 0.2836 0.5000
Se3 0.2836 0.7164 0.5000
Se4 0.7164 0.2836 0.5000
Se5 0.7164 0.7164 0.5000

The 8 most intense peaks (15 to 90 degrees two-theta), in order of rising 2θ:
d [Å]	2θ (°)	intensity
5.588	15.86	100
4.805	18.47	53
3.643	24.43	59
3.039	29.39	85
2.794	32.03	63
2.402	37.43	71
2.057	44.03	57
1.822	50.08	61